# 1
Calculated X-ray powder pattern of Tb4Er3Tm5 for a wavelength of 1.5418 Å, from the GGA-PBE geometry in Alexandria.

The 12 most intense peaks (15 to 90 degrees two-theta), sorted by position:
31.22°, 2.865 Å, I = 100
36.21°, 2.481 Å, I = 51
52.13°, 1.755 Å, I = 30
52.19°, 1.753 Å, I = 6
62.01°, 1.497 Å, I = 25
62.07°, 1.495 Å, I = 18
65.07°, 1.433 Å, I = 6
65.17°, 1.431 Å, I = 6
76.85°, 1.241 Å, I = 6
85.16°, 1.139 Å, I = 6
85.27°, 1.138 Å, I = 7
88.06°, 1.109 Å, I = 10

a = 6.077 Å, b = 7.025 Å, c = 8.586 Å
α = 89.99°, β = 89.97°, γ = 89.93°
Fractional coordinates of all 12 atoms:
Tb 0.167 0.251 0.332
Tb 0.332 0.000 0.668
Tb 0.668 0.000 0.332
Tb 0.833 0.749 0.668
Er 0.000 0.500 0.000
Er 0.168 0.749 0.332
Er 0.832 0.251 0.668
Tm 0.000 0.000 0.000
Tm 0.333 0.500 0.668
Tm 0.500 0.251 0.000
Tm 0.500 0.749 0.000
Tm 0.667 0.500 0.332



# 2
Calculated X-ray powder pattern of Er3Ga8Ir3 for a wavelength of 1.5418 Å, from the GGA-PBE geometry in Alexandria.

The 12 most intense peaks (15 to 90 degrees two-theta), sorted by position:
28.95°, 3.084 Å, I = 16
35.03°, 2.562 Å, I = 13
35.64°, 2.519 Å, I = 100
36.61°, 2.455 Å, I = 12
37.82°, 2.379 Å, I = 15
43.24°, 2.092 Å, I = 27
44.00°, 2.058 Å, I = 17
45.85°, 1.979 Å, I = 17
46.54°, 1.952 Å, I = 18
63.40°, 1.467 Å, I = 12
65.28°, 1.429 Å, I = 11
74.36°, 1.276 Å, I = 12

a = 8.161 Å, b = 8.161 Å, c = 8.161 Å
α = 150.29°, β = 106.03°, γ = 81.68°
Fractional coordinates of all 14 atoms:
Er 0.000 0.000 0.000
Er 0.332 0.332 0.000
Er 0.668 0.668 0.000
Ga 0.042 0.671 0.371
Ga 0.161 0.876 0.285
Ga 0.300 0.671 0.629
Ga 0.408 0.124 0.285
Ga 0.592 0.876 0.715
Ga 0.700 0.329 0.371
Ga 0.839 0.124 0.715
Ga 0.958 0.329 0.629
Ir 0.278 0.500 0.778
Ir 0.500 0.000 0.500
Ir 0.722 0.500 0.222



# 3
Calculated X-ray powder pattern of PmY2Ho6Tm for a wavelength of 1.5418 Å, from the GGA-PBE geometry in Alexandria.

The 12 most intense peaks (15 to 90 degrees two-theta), sorted by position:
28.51°, 3.130 Å, I = 21
28.62°, 3.119 Å, I = 63
30.71°, 2.912 Å, I = 100
31.01°, 2.884 Å, I = 94
31.25°, 2.862 Å, I = 94
31.45°, 2.844 Å, I = 79
31.82°, 2.813 Å, I = 64
32.60°, 2.747 Å, I = 27
34.41°, 2.606 Å, I = 69
35.21°, 2.549 Å, I = 35
51.16°, 1.785 Å, I = 22
54.69°, 1.678 Å, I = 23

a = 8.767 Å, b = 8.767 Å, c = 9.427 Å
α = 93.17°, β = 93.17°, γ = 117.37°
Fractional coordinates of all 20 atoms:
Pm 0.028 0.972 0.750
Pm 0.972 0.028 0.250
Y 0.201 0.305 0.548
Y 0.305 0.201 0.048
Y 0.695 0.799 0.952
Y 0.799 0.695 0.452
Ho 0.015 0.564 0.685
Ho 0.124 0.754 0.058
Ho 0.246 0.876 0.442
Ho 0.291 0.513 0.884
Ho 0.436 0.985 0.815
Ho 0.487 0.709 0.616
Ho 0.513 0.291 0.384
Ho 0.564 0.015 0.185
Ho 0.709 0.487 0.116
Ho 0.754 0.124 0.558
Ho 0.876 0.246 0.942
Ho 0.985 0.436 0.315
Tm 0.410 0.590 0.250
Tm 0.590 0.410 0.750



# 4
Calculated X-ray powder pattern of KTi12Se16 for a wavelength of 1.5418 Å, from the GGA-PBE geometry in Alexandria.

The 12 most intense peaks (15 to 90 degrees two-theta), sorted by position:
30.87°, 2.897 Å, I = 67
31.10°, 2.876 Å, I = 95
32.61°, 2.746 Å, I = 71
37.40°, 2.405 Å, I = 100
37.59°, 2.393 Å, I = 56
44.39°, 2.041 Å, I = 81
51.31°, 1.780 Å, I = 27
52.93°, 1.730 Å, I = 61
56.44°, 1.630 Å, I = 15
61.23°, 1.514 Å, I = 23
65.33°, 1.428 Å, I = 20
82.90°, 1.165 Å, I = 32

a = 7.122 Å, b = 9.961 Å, c = 10.578 Å
α = 61.92°, β = 70.33°, γ = 90.00°
Fractional coordinates of all 29 atoms:
K 0.000 0.000 0.000
Ti 0.119 0.362 0.509
Ti 0.190 0.490 0.871
Ti 0.197 0.130 0.360
Ti 0.307 0.871 0.638
Ti 0.311 0.509 0.130
Ti 0.378 0.640 0.490
Ti 0.622 0.360 0.510
Ti 0.689 0.491 0.870
Ti 0.693 0.129 0.362
Ti 0.803 0.870 0.640
Ti 0.810 0.510 0.129
Ti 0.881 0.638 0.491
Se 0.041 0.667 0.667
Se 0.050 0.051 0.647
Se 0.152 0.699 0.949
Se 0.225 0.649 0.300
Se 0.277 0.353 0.698
Se 0.350 0.300 0.051
Se 0.450 0.949 0.351
Se 0.458 0.334 0.334
Se 0.542 0.666 0.666
Se 0.550 0.051 0.649
Se 0.650 0.700 0.949
Se 0.723 0.647 0.302
Se 0.775 0.351 0.700
Se 0.848 0.301 0.051
Se 0.950 0.949 0.353
Se 0.959 0.333 0.333



# 5
Calculated X-ray powder pattern of Ce6Sb3P for a wavelength of 1.5418 Å, from the GGA-PBE geometry in Alexandria.

The 12 most intense peaks (15 to 90 degrees two-theta), sorted by position:
26.85°, 3.321 Å, I = 42
28.12°, 3.173 Å, I = 24
29.00°, 3.079 Å, I = 18
29.88°, 2.990 Å, I = 43
30.10°, 2.969 Å, I = 42
30.24°, 2.956 Å, I = 24
30.38°, 2.942 Å, I = 17
31.90°, 2.805 Å, I = 48
32.08°, 2.790 Å, I = 100
35.07°, 2.559 Å, I = 23
35.18°, 2.551 Å, I = 86
51.48°, 1.775 Å, I = 18

a = 6.159 Å, b = 8.409 Å, c = 12.704 Å
α = 90.00°, β = 118.46°, γ = 90.00°
Fractional coordinates of all 20 atoms:
Ce 0.013 0.183 0.434
Ce 0.013 0.317 0.934
Ce 0.349 0.637 0.443
Ce 0.349 0.863 0.943
Ce 0.362 0.017 0.236
Ce 0.362 0.483 0.736
Ce 0.638 0.517 0.264
Ce 0.638 0.983 0.764
Ce 0.651 0.137 0.057
Ce 0.651 0.363 0.557
Ce 0.987 0.683 0.066
Ce 0.987 0.817 0.566
Sb 0.136 0.138 0.740
Sb 0.136 0.362 0.240
Sb 0.500 0.000 0.500
Sb 0.500 0.500 0.000
Sb 0.864 0.638 0.760
Sb 0.864 0.862 0.260
P 0.000 0.000 0.000
P 0.000 0.500 0.500



# 6
Calculated X-ray powder pattern of Ho3AlTl for a wavelength of 1.5418 Å, from the GGA-PBE geometry in Alexandria.

The 12 most intense peaks (15 to 90 degrees two-theta), sorted by position:
19.75°, 4.495 Å, I = 9
21.77°, 4.083 Å, I = 8
32.86°, 2.726 Å, I = 100
36.45°, 2.465 Å, I = 39
41.30°, 2.186 Å, I = 12
52.49°, 1.743 Å, I = 14
56.24°, 1.636 Å, I = 19
63.33°, 1.469 Å, I = 31
68.89°, 1.363 Å, I = 10
69.97°, 1.345 Å, I = 8
86.69°, 1.123 Å, I = 7
88.73°, 1.102 Å, I = 7

a = 11.204 Å, b = 11.204 Å, c = 4.931 Å
α = 90.00°, β = 90.00°, γ = 154.58°
Fractional coordinates of all 10 atoms:
Ho 0.059 0.941 0.750
Ho 0.250 0.750 0.750
Ho 0.440 0.560 0.750
Ho 0.560 0.440 0.250
Ho 0.750 0.250 0.250
Ho 0.941 0.059 0.250
Al 0.155 0.845 0.250
Al 0.845 0.155 0.750
Tl 0.346 0.654 0.250
Tl 0.654 0.346 0.750



# 7
Calculated X-ray powder pattern of BaPu2US8 for a wavelength of 1.5418 Å, from the GGA-PBE geometry in Alexandria.

The 12 most intense peaks (15 to 90 degrees two-theta), sorted by position:
19.92°, 4.456 Å, I = 100
25.26°, 3.526 Å, I = 36
25.46°, 3.499 Å, I = 51
27.97°, 3.190 Å, I = 18
38.18°, 2.357 Å, I = 38
38.58°, 2.334 Å, I = 51
40.49°, 2.228 Å, I = 19
47.59°, 1.911 Å, I = 21
47.88°, 1.900 Å, I = 15
48.87°, 1.863 Å, I = 11
57.26°, 1.609 Å, I = 12
60.34°, 1.534 Å, I = 11

a = 6.227 Å, b = 8.460 Å, c = 6.380 Å
α = 90.00°, β = 90.10°, γ = 90.00°
Fractional coordinates of all 12 atoms:
Ba 0.000 0.000 0.000
Pu 0.500 0.253 0.500
Pu 0.500 0.747 0.500
U 0.000 0.500 0.000
S 0.243 0.294 0.158
S 0.243 0.706 0.158
S 0.270 0.000 0.595
S 0.271 0.500 0.670
S 0.729 0.500 0.330
S 0.730 0.000 0.405
S 0.757 0.294 0.842
S 0.757 0.706 0.842



# 8
Calculated X-ray powder pattern of Tl3RhBr6 for a wavelength of 1.5418 Å, from the GGA-PBE geometry in Alexandria.

The 12 most intense peaks (15 to 90 degrees two-theta), sorted by position:
20.46°, 4.341 Å, I = 45
23.15°, 3.842 Å, I = 100
31.09°, 2.877 Å, I = 20
31.23°, 2.864 Å, I = 40
36.61°, 2.454 Å, I = 47
39.23°, 2.296 Å, I = 47
43.77°, 2.068 Å, I = 24
45.20°, 2.006 Å, I = 14
47.32°, 1.921 Å, I = 14
55.96°, 1.643 Å, I = 14
57.79°, 1.595 Å, I = 14
59.14°, 1.562 Å, I = 14

a = 8.780 Å, b = 8.149 Å, c = 7.414 Å
α = 68.50°, β = 59.72°, γ = 51.78°
Fractional coordinates of all 10 atoms:
Tl 0.000 0.000 0.000
Tl 0.250 0.250 0.250
Tl 0.750 0.750 0.750
Rh 0.500 0.500 0.500
Br 0.179 0.556 0.821
Br 0.278 0.722 0.278
Br 0.444 0.821 0.556
Br 0.556 0.179 0.444
Br 0.722 0.278 0.722
Br 0.821 0.444 0.179